1.
Computed PXRD pattern
Compound: Al9Co4
Radiation: Cu Kα (weighted mean of Kα1 and Kα2)
Structure: a structure optimized by DFT (GGA-PBE)
No peak broadening, texture or thermal motion is included.

Structure:
```
data_Al9Co4
_space_group_name_H-M_alt 'R -3 m'
_space_group_IT_number 166
_space_group_name_Hall '-R 3 2"'
_cell_length_a 5.1206
_cell_length_b 5.1206
_cell_length_c 24.1595
_cell_angle_alpha 90.00
_cell_angle_beta 90.00
_cell_angle_gamma 120.00
loop_
_atom_site_label
_atom_site_fract_x
_atom_site_fract_y
_atom_site_fract_z
Al1 0.0000 0.0000 0.0000
Al2 0.0000 0.0000 0.4512
Al3 0.0056 0.5028 0.4159
Co1 0.0000 0.0000 0.1678
Co2 0.0000 0.0000 0.3533
```

Principal peaks in the range 2θ = 10–90°, sorted by position:
| h k l | 2θ (°) | Rel. int. |
| --- | --- | --- |
| 1 1 0 | 35.0 | 80 |
| 0 2 1 | 40.9 | 21 |
| 1 1 6 | 41.8 | 100 |
| 1 0 10 | 42.6 | 33 |
| 0 2 4 | 43.5 | 23 |
| 0 0 12 | 45.0 | 43 |
| 0 1 11 | 46.1 | 39 |
| 0 3 6 | 67.5 | 22 |
| 1 2 11 | 70.7 | 21 |
| 2 2 0 | 74.1 | 26 |

2.
Computed PXRD pattern
Compound: Hf2Al2Co3Cu
Radiation: Cu Kα (weighted mean of Kα1 and Kα2)
Structure: a structure optimized by DFT (GGA-PBE)
No peak broadening, texture or thermal motion is included.

Structure:
```
data_Hf2Al2Co3Cu
_space_group_name_H-M_alt 'P 3 m 1'
_space_group_IT_number 156
_cell_length_a 4.0836
_cell_length_b 4.0836
_cell_length_c 8.0316
_cell_angle_alpha 90.00
_cell_angle_beta 90.00
_cell_angle_gamma 120.00
loop_
_space_group_symop_operation_xyz
'x,y,z'
'-y,x-y,z'
'-x+y,-x,z'
'-y,-x,z'
'-x+y,y,z'
'x,x-y,z'
loop_
_atom_site_label
_atom_site_fract_x
_atom_site_fract_y
_atom_site_fract_z
Hf1 0.0000 0.0000 0.0000
Hf2 0.3333 0.6667 0.4806
Al1 0.6667 0.3333 0.2359
Al2 0.6667 0.3333 0.7237
Co1 0.0000 0.0000 0.3325
Co2 0.0000 0.0000 0.6524
Co3 0.3333 0.6667 0.1461
Cu1 0.3333 0.6667 0.8255
```

Principal peaks in the range 2θ = 10–90°, sorted by position:
| h k l | 2θ (°) | Rel. int. |
| --- | --- | --- |
| 0 0 2 | 22.1 | 11 |
| 1 0 0 | 25.2 | 46 |
| 0 1 1 | 27.6 | 39 |
| 1 0 2 | 33.8 | 22 |
| 0 1 3 | 42.3 | 100 |
| 1 1 0 | 44.4 | 70 |
| 2 0 3 | 63.0 | 30 |
| 1 2 3 | 80.3 | 29 |
| 3 0 0 | 81.7 | 11 |
| 1 1 6 | 87.0 | 12 |